No. 1
KAuI2Cl: computed powder XRD pattern (CuKα), based on a cell relaxed with PBE.
Kinematic intensities with the Lorentz-polarization factor, no thermal factor.

Main lines, sorted by position (10° ≤ 2θ ≤ 80°):
d (Å), Rel. int.
5.821, 60
5.566, 100
4.023, 59
2.910, 79
2.783, 34
2.603, 15
2.579, 57
2.358, 27
2.058, 28
2.011, 51
1.930, 23
1.655, 26

Structure:
```
data_KAuI2Cl
_chemical_formula_sum 'K2 Au2 I4 Cl2'
_space_group_name_H-M_alt 'P 1'
_space_group_IT_number 1
_cell_length_a 8.0538
_cell_length_b 8.0538
_cell_length_c 8.0538
_cell_angle_alpha 118.53
_cell_angle_beta 118.53
_cell_angle_gamma 92.56
loop_
_space_group_symop_operation_xyz
'x,y,z'
loop_
_atom_site_label
_atom_site_type_symbol
_atom_site_fract_x
_atom_site_fract_y
_atom_site_fract_z
K1 K 0.2500 0.7500 0.5000
K2 K 0.7500 0.2500 0.5000
Au1 Au 0.0000 0.0000 0.0000
Au2 Au 0.5000 0.5000 0.0000
I1 I 0.2323 0.2323 0.4645
I2 I 0.2323 0.7677 0.0000
I3 I 0.7677 0.2323 0.0000
I4 I 0.7677 0.7677 0.5355
Cl1 Cl 0.2916 0.2916 0.0000
Cl2 Cl 0.7084 0.7084 0.0000
```

---

No. 2
Cu4Ag: computed powder XRD pattern (CuKα), based on a cell relaxed with PBE.
Kinematic intensities with the Lorentz-polarization factor, no thermal factor.

Main lines, sorted by position (10° ≤ 2θ ≤ 80°):
d (Å), Rel. int.
3.745, 2
3.009, 2
2.830, 3
2.638, 1
2.157, 100
1.894, 16
1.872, 16
1.838, 15
1.333, 5
1.330, 4
1.319, 9
1.312, 9

Structure:
```
data_Cu4Ag
_chemical_formula_sum 'Cu8 Ag2'
_space_group_name_H-M_alt 'P 1'
_space_group_IT_number 1
_cell_length_a 7.0441
_cell_length_b 7.0441
_cell_length_c 5.3313
_cell_angle_alpha 101.54
_cell_angle_beta 101.54
_cell_angle_gamma 30.25
loop_
_space_group_symop_operation_xyz
'x,y,z'
loop_
_atom_site_label
_atom_site_type_symbol
_atom_site_fract_x
_atom_site_fract_y
_atom_site_fract_z
Cu1 Cu 0.0000 0.0000 0.0000
Cu2 Cu 0.0000 0.0000 0.5000
Cu3 Cu 0.1944 0.1944 0.0942
Cu4 Cu 0.4046 0.4046 0.1902
Cu5 Cu 0.4074 0.4074 0.7120
Cu6 Cu 0.5926 0.5926 0.2880
Cu7 Cu 0.5954 0.5954 0.8098
Cu8 Cu 0.8056 0.8056 0.9058
Ag1 Ag 0.1961 0.1961 0.6068
Ag2 Ag 0.8039 0.8039 0.3932
```

---

No. 3
HgH10C2S2O8: computed powder XRD pattern (CuKα), based on a cell relaxed with PBE.
Kinematic intensities with the Lorentz-polarization factor, no thermal factor.

Main lines, sorted by position (10° ≤ 2θ ≤ 80°):
d (Å), Rel. int.
7.836, 100
6.080, 41
4.801, 66
4.067, 24
3.844, 15
3.553, 18
3.408, 28
3.294, 27
3.275, 32
2.937, 19
2.701, 15
2.401, 20

Structure:
```
data_HgH10C2S2O8
_chemical_formula_sum 'Hg1 H10 C2 S2 O8'
_space_group_name_H-M_alt 'P 1'
_space_group_IT_number 1
_cell_length_a 4.6622
_cell_length_b 6.1007
_cell_length_c 7.8422
_cell_angle_alpha 89.89
_cell_angle_beta 87.70
_cell_angle_gamma 85.33
loop_
_space_group_symop_operation_xyz
'x,y,z'
loop_
_atom_site_label
_atom_site_type_symbol
_atom_site_fract_x
_atom_site_fract_y
_atom_site_fract_z
Hg1 Hg 0.0000 0.0000 0.0000
H1 H 0.0052 0.3818 0.1996
H2 H 0.1568 0.6433 0.4280
H3 H 0.1630 0.9357 0.3963
H4 H 0.3243 0.3324 0.1175
H5 H 0.4155 0.7918 0.5346
H6 H 0.5845 0.2082 0.4654
H7 H 0.6757 0.6676 0.8825
H8 H 0.8370 0.0643 0.6037
H9 H 0.8432 0.3567 0.5720
H10 H 0.9948 0.6182 0.8004
C1 C 0.2921 0.7815 0.4195
C2 C 0.7079 0.2185 0.5805
S1 S 0.4622 0.2643 0.7546
S2 S 0.5378 0.7357 0.2454
O1 O 0.1651 0.2650 0.1782
O2 O 0.2834 0.4670 0.7212
O3 O 0.2986 0.0655 0.7608
O4 O 0.3729 0.7125 0.0884
O5 O 0.6271 0.2875 0.9116
O6 O 0.7014 0.9345 0.2392
O7 O 0.7166 0.5330 0.2788
O8 O 0.8349 0.7350 0.8218
```